Diffraction record for Rb2HoWO6. The PXRD pattern is theoretical, not measured: it uses DFT lattice parameters and positions (GGA+U) and Cu Kα (weighted mean of Kα1 and Kα2).
Neutral-atom scattering factors, no anomalous dispersion.

```
10
Lattice="6.594 0.000 0.000 -3.297 5.711 0.000 0.000 0.000 5.872" Properties=species:S:1:pos:R:3 pbc="T T T"
Rb 0.000 3.807 2.335
Rb 3.297 1.904 3.537
Ho 0.000 0.000 0.000
W 0.000 0.000 2.936
O 0.000 1.526 4.163
O -1.975 4.947 4.163
O 1.322 0.763 1.710
O 1.975 4.947 4.163
O 5.272 0.763 1.710
O 3.297 4.184 1.710
```

Most intense lines, 2θ from 10° to 90°, by angle:
2θ = 15.1°, I = 14, hkl 0 0 1
2θ = 15.5°, I = 100, hkl 1 0 0
2θ = 27.0°, I = 73, hkl 1 1 0
2θ = 34.3°, I = 32, hkl 1 0 2
2θ = 41.2°, I = 33, hkl 1 1 2
2θ = 44.2°, I = 25, hkl 0 2 2
2θ = 47.8°, I = 14, hkl 3 0 0
2θ = 52.6°, I = 25, hkl 2 1 2
2θ = 55.8°, I = 13, hkl 2 2 0
2θ = 57.7°, I = 13, hkl 0 3 2